Structure and simulated X-ray powder pattern of Li8Cr3TeO12 (a PBE+U-relaxed structure; Cu Ka).
Peak positions follow from Bragg's law for the DFT cell and can differ from measured ones.

```
data_Li8Cr3TeO12
_chemical_formula_sum 'Li8 Cr3 Te1 O12'
_cell_length_a 5.042
_cell_length_b 8.601
_cell_length_c 5.060
_cell_angle_alpha 90.00
_cell_angle_beta 90.37
_cell_angle_gamma 90.00
_space_group_name_H-M_alt 'P 1 2 1'
_space_group_IT_number 3
loop_
_space_group_symop_operation_xyz
'x,y,z'
'-x,y,-z'
loop_
_atom_site_label
_atom_site_type_symbol
_atom_site_fract_x
_atom_site_fract_y
_atom_site_fract_z
Li1 Li 0.000 0.000 0.000
Li2 Li 0.000 0.132 0.500
Li3 Li 0.000 0.284 0.000
Li4 Li 0.000 0.841 0.500
Li5 Li 0.500 0.304 0.000
Li6 Li 0.500 0.471 0.500
Li7 Li 0.500 0.620 0.000
Li8 Li 0.500 0.806 0.500
Cr1 Cr 0.000 0.455 0.500
Cr2 Cr 0.500 0.145 0.500
Cr3 Cr 0.500 0.977 0.000
Te1 Te 0.000 0.649 0.000
O1 O 0.218 0.483 0.168
O2 O 0.220 0.633 0.683
O3 O 0.237 0.803 0.153
O4 O 0.261 0.305 0.647
O5 O 0.275 0.134 0.174
O6 O 0.285 0.985 0.665
```

Most intense lines, 2θ = 15–90°, in order of rising 2θ:
two_theta  Rel. int.  h k l
20.4  100  1 1 0
20.7  11  0 2 0
32.5  19  1 2 -1
32.7  19  1 2 1
36.0  14  0 3 1
41.2  11  1 1 -2
41.4  13  1 1 2
51.5  14  2 3 -1
51.6  15  2 3 1
64.1  10  0 3 3